Entry 1:
Pr6Sm2Dy3: theoretical X-ray powder pattern (a wavelength of 1.5418 Å), based on a structure optimized by DFT (PBE).

Structure:
Cell: 6.328 8.144 8.179 Å, 107.40 97.28 104.91°
Fractional positions:
1 Pr 0.047 0.182 0.409
2 Pr 0.137 0.546 0.231
3 Pr 0.320 0.272 0.865
4 Pr 0.680 0.728 0.135
5 Pr 0.863 0.454 0.769
6 Pr 0.953 0.818 0.591
7 Sm 0.230 0.911 0.047
8 Sm 0.770 0.089 0.953
9 Dy 0.410 0.638 0.681
10 Dy 0.500 0.000 0.500
11 Dy 0.590 0.362 0.319

Top 8 peaks for 5° ≤ 2θ ≤ 70°, by intensity:
30.0°, rel. 1000, (0 1 2); 34.7°, rel. 339, (2 0 1); 49.9°, rel. 242, (1 3 1); 34.8°, rel. 168, (1 -3 0); 59.3°, rel. 144, (3 2 0); 59.2°, rel. 109, (2 1 3); 59.4°, rel. 108, (2 3 -4); 59.5°, rel. 72, (2 -5 2)


Entry 2:
TbPr2SmDy: theoretical X-ray powder pattern (a wavelength of 1.5418 Å), based on a structure optimized by DFT (PBE).

Structure:
Cell: 8.199 6.816 6.248 Å, 90.00 90.07 90.00°
Fractional positions:
1 Tb 0.000 0.158 0.250
2 Tb 0.000 0.842 0.750
3 Pr 0.197 0.306 0.750
4 Pr 0.197 0.694 0.250
5 Pr 0.803 0.306 0.750
6 Pr 0.803 0.694 0.250
7 Sm 0.500 0.000 0.000
8 Sm 0.500 0.000 0.500
9 Dy 0.500 0.417 0.250
10 Dy 0.500 0.583 0.750

Top 8 peaks for 5° ≤ 2θ ≤ 70°, by intensity:
29.2°, rel. 1000, (2 1 1); 31.8°, rel. 523, (1 2 -1); 33.4°, rel. 460, (1 1 2); 28.4°, rel. 398, (1 2 0); 46.1°, rel. 334, (3 1 -2); 28.6°, rel. 301, (0 0 2); 54.7°, rel. 241, (2 3 2); 51.0°, rel. 219, (2 1 3)


Entry 3:
Tb2PrSmDy2: theoretical X-ray powder pattern (a wavelength of 1.5418 Å), based on a structure optimized by DFT (PBE).

Structure:
Cell: 6.612 17.910 3.407 Å, 90.00 90.00 90.00°
Fractional positions:
1 Tb 0.226 0.185 0.000
2 Tb 0.274 0.685 0.500
3 Tb 0.726 0.315 0.500
4 Tb 0.774 0.815 0.000
5 Pr 0.000 0.000 0.000
6 Pr 0.500 0.500 0.500
7 Sm 0.000 0.500 0.000
8 Sm 0.500 0.000 0.500
9 Dy 0.223 0.350 0.500
10 Dy 0.277 0.850 0.000
11 Dy 0.723 0.150 0.000
12 Dy 0.777 0.650 0.500

Top 8 peaks for 5° ≤ 2θ ≤ 70°, by intensity:
28.8°, rel. 1000, (2 2 0); 30.2°, rel. 941, (0 3 1); 29.9°, rel. 821, (0 6 0); 40.9°, rel. 706, (2 3 1); 33.7°, rel. 591, (2 4 0); 35.8°, rel. 358, (1 4 1); 31.2°, rel. 355, (1 2 1); 26.6°, rel. 329, (0 1 1)


Which formula does entry 3 have?
Tb2PrSmDy2